[1]
Structure and computed X-ray powder pattern of MgAl3Pt (a GGA-PBE-relaxed structure; Cu Kα (weighted mean of Kα1 and Kα2)).

Largest 10 diffraction maxima, by angle, 5° ≤ 2θ ≤ 70°:
Position (°2θ)  I/Imax
13.4  66
19.3  100
22.9  50
24.0  43
26.3  44
31.4  47
35.1  59
43.3  56
45.7  40
50.5  28

Structure:
Lattice parameters (Å, degrees): 8.2833 3.9344 11.0507 90.00 90.00 90.00
Element x y z (fractional)
Mg (0.1620, 0.2500, 0.0166)
Mg (0.3380, 0.7500, 0.5166)
Mg (0.6620, 0.2500, 0.4834)
Mg (0.8380, 0.7500, 0.9834)
Al (0.0484, 0.2500, 0.4136)
Al (0.0700, 0.7500, 0.2112)
Al (0.1744, 0.7500, 0.7866)
Al (0.3256, 0.2500, 0.2866)
Al (0.4300, 0.2500, 0.7112)
Al (0.4516, 0.7500, 0.9136)
Al (0.5484, 0.2500, 0.0864)
Al (0.5700, 0.7500, 0.2888)
Al (0.6744, 0.7500, 0.7134)
Al (0.8256, 0.2500, 0.2134)
Al (0.9300, 0.2500, 0.7888)
Al (0.9516, 0.7500, 0.5864)
Pt (0.1480, 0.2500, 0.6311)
Pt (0.3520, 0.7500, 0.1311)
Pt (0.6480, 0.2500, 0.8689)
Pt (0.8520, 0.7500, 0.3689)


[2]
Structure and computed X-ray powder pattern of CeO2 (a GGA-PBE-relaxed structure; Cu Kα (weighted mean of Kα1 and Kα2)).

Largest 6 diffraction maxima, by angle, 5° ≤ 2θ ≤ 70°:
Position (°2θ)  I/Imax
28.3  100
32.8  29
47.1  55
55.8  45
58.5  8
68.7  8

Structure:
Lattice parameters (Å, degrees): 3.8625 3.8625 3.8625 60.00 60.00 60.00
Element x y z (fractional)
Ce (0.0000, 0.0000, 0.0000)
O (0.2500, 0.2500, 0.2500)
O (0.7500, 0.7500, 0.7500)


[3]
Structure and computed X-ray powder pattern of CsLi3Zn (a GGA-PBE-relaxed structure; Cu Kα (weighted mean of Kα1 and Kα2)).

Largest 10 diffraction maxima, by angle, 5° ≤ 2θ ≤ 70°:
Position (°2θ)  I/Imax
16.2  8
23.0  100
28.3  6
32.8  25
36.8  4
40.5  45
47.1  18
53.1  20
58.6  6
63.8  23

Structure:
Lattice parameters (Å, degrees): 5.4572 5.4572 5.4572 90.00 90.00 90.00
Element x y z (fractional)
Cs (0.0000, 0.0000, 0.0000)
Li (0.0000, 0.5000, 0.5000)
Li (0.5000, 0.0000, 0.5000)
Li (0.5000, 0.5000, 0.0000)
Zn (0.5000, 0.5000, 0.5000)


[4]
Structure and computed X-ray powder pattern of Pm2Sm5Pd4 (a GGA-PBE-relaxed structure; Cu Kα (weighted mean of Kα1 and Kα2)).

Largest 10 diffraction maxima, by angle, 5° ≤ 2θ ≤ 70°:
Position (°2θ)  I/Imax
24.7  47
26.4  29
29.8  100
30.8  98
34.1  56
36.0  88
37.1  48
43.1  47
50.0  39
59.9  29

Structure:
Lattice parameters (Å, degrees): 12.7244 12.7244 6.9339 91.98 91.98 16.48
Element x y z (fractional)
Pm (0.0917, 0.0917, 0.1643)
Pm (0.9083, 0.9083, 0.8357)
Sm (0.1335, 0.1335, 0.6760)
Sm (0.2338, 0.2338, 0.2497)
Sm (0.5000, 0.5000, 0.5000)
Sm (0.7662, 0.7662, 0.7503)
Sm (0.8665, 0.8665, 0.3240)
Pd (0.0254, 0.0254, 0.8150)
Pd (0.3282, 0.3282, 0.0137)
Pd (0.6718, 0.6718, 0.9863)
Pd (0.9746, 0.9746, 0.1850)


What did the fourth record say?
Structure and computed X-ray powder pattern of Pm2Sm5Pd4 (a GGA-PBE-relaxed structure; Cu Kα (weighted mean of Kα1 and Kα2)).

Largest 10 diffraction maxima, by angle, 5° ≤ 2θ ≤ 70°:
Position (°2θ)  I/Imax
24.7  47
26.4  29
29.8  100
30.8  98
34.1  56
36.0  88
37.1  48
43.1  47
50.0  39
59.9  29

Structure:
Lattice parameters (Å, degrees): 12.7244 12.7244 6.9339 91.98 91.98 16.48
Element x y z (fractional)
Pm (0.0917, 0.0917, 0.1643)
Pm (0.9083, 0.9083, 0.8357)
Sm (0.1335, 0.1335, 0.6760)
Sm (0.2338, 0.2338, 0.2497)
Sm (0.5000, 0.5000, 0.5000)
Sm (0.7662, 0.7662, 0.7503)
Sm (0.8665, 0.8665, 0.3240)
Pd (0.0254, 0.0254, 0.8150)
Pd (0.3282, 0.3282, 0.0137)
Pd (0.6718, 0.6718, 0.9863)
Pd (0.9746, 0.9746, 0.1850)